For Pm2AlCd, a structure optimized by DFT (GGA-PBE) gives the calculated powder XRD pattern in this record (Cu Ka).

Structural model:
abc: 7.549 7.549 7.549
angles: 90.00 90.00 90.00
Atoms (fractional coordinates):
Pm1 0.250 0.250 0.250
Pm2 0.250 0.250 0.750
Pm3 0.250 0.750 0.250
Pm4 0.250 0.750 0.750
Pm5 0.750 0.250 0.250
Pm6 0.750 0.250 0.750
Pm7 0.750 0.750 0.250
Pm8 0.750 0.750 0.750
Al1 0.000 0.000 0.000
Al2 0.000 0.500 0.500
Al3 0.500 0.000 0.500
Al4 0.500 0.500 0.000
Cd1 0.000 0.000 0.500
Cd2 0.000 0.500 0.000
Cd3 0.500 0.000 0.000
Cd4 0.500 0.500 0.500

Peak list (6 most intense, 2θ = 10–90°, in order of rising 2θ)
3.775 Å, I 15
2.669 Å, I 100
1.887 Å, I 18
1.541 Å, I 37
1.335 Å, I 11
1.194 Å, I 16

***

For SrU3Tl3Se8, a structure optimized by DFT (GGA-PBE) gives the calculated powder XRD pattern in this record (Cu Ka).

Structural model:
abc: 9.126 9.126 9.126
angles: 55.41 55.41 55.41
Atoms (fractional coordinates):
Sr1 0.000 0.000 0.000
U1 0.000 0.500 0.500
U2 0.500 0.000 0.500
U3 0.500 0.500 0.000
Tl1 0.000 0.000 0.500
Tl2 0.000 0.500 0.000
Tl3 0.500 0.000 0.000
Se1 0.248 0.248 0.712
Se2 0.248 0.712 0.248
Se3 0.265 0.265 0.265
Se4 0.288 0.752 0.752
Se5 0.712 0.248 0.248
Se6 0.735 0.735 0.735
Se7 0.752 0.288 0.752
Se8 0.752 0.752 0.288

Peak list (6 most intense, 2θ = 10–90°, in order of rising 2θ)
3.501 Å, I 19
3.100 Å, I 100
2.270 Å, I 38
2.121 Å, I 36
1.751 Å, I 20
1.350 Å, I 16

***

For NaCaIn4, a structure optimized by DFT (GGA-PBE) gives the calculated powder XRD pattern in this record (Cu Ka).

Structural model:
abc: 5.047 7.552 8.714
angles: 90.00 90.00 90.00
Atoms (fractional coordinates):
Na1 0.000 0.000 0.000
Na2 0.500 0.500 0.500
Ca1 0.000 0.500 0.924
Ca2 0.500 0.000 0.424
In1 0.000 0.208 0.619
In2 0.000 0.296 0.290
In3 0.000 0.704 0.290
In4 0.000 0.792 0.619
In5 0.500 0.204 0.790
In6 0.500 0.292 0.119
In7 0.500 0.708 0.119
In8 0.500 0.796 0.790

Peak list (6 most intense, 2θ = 10–90°, in order of rising 2θ)
4.364 Å, I 43
3.776 Å, I 38
2.856 Å, I 71
2.520 Å, I 100
2.096 Å, I 49
1.889 Å, I 23

***

For Ho2Ti12Cu9O36, a structure optimized by DFT (GGA-PBE) gives the calculated powder XRD pattern in this record (Cu Ka).

Structural model:
abc: 10.511 10.511 6.452
angles: 90.00 90.00 120.00
Atoms (fractional coordinates):
Ho1 0.333 0.667 0.170
Ho2 0.667 0.333 0.830
Ti1 0.000 0.000 0.000
Ti2 0.000 0.500 0.000
Ti3 0.157 0.839 0.338
Ti4 0.161 0.319 0.338
Ti5 0.319 0.157 0.662
Ti6 0.333 0.667 0.658
Ti7 0.500 0.000 0.000
Ti8 0.500 0.500 0.000
Ti9 0.667 0.333 0.342
Ti10 0.681 0.843 0.338
Ti11 0.839 0.681 0.662
Ti12 0.843 0.161 0.662
Cu1 0.000 0.500 0.500
Cu2 0.169 0.337 0.840
Cu3 0.169 0.831 0.840
Cu4 0.337 0.169 0.160
Cu5 0.500 0.000 0.500
Cu6 0.500 0.500 0.500
Cu7 0.663 0.831 0.840
Cu8 0.831 0.169 0.160
Cu9 0.831 0.663 0.160
O1 0.016 0.851 0.169
O2 0.044 0.775 0.590
O3 0.076 0.625 0.250
O4 0.119 0.412 0.088
O5 0.149 0.165 0.169
O6 0.165 0.016 0.831
O7 0.177 0.649 0.855
O8 0.193 0.510 0.483
O9 0.225 0.270 0.590
O10 0.270 0.044 0.410
O11 0.293 0.881 0.088
O12 0.317 0.807 0.483
O13 0.351 0.528 0.855
O14 0.375 0.450 0.250
O15 0.412 0.293 0.912
O16 0.450 0.076 0.750
O17 0.472 0.823 0.855
O18 0.490 0.683 0.483
O19 0.510 0.317 0.517
O20 0.528 0.177 0.145
O21 0.550 0.924 0.250
O22 0.588 0.707 0.088
O23 0.625 0.550 0.750
O24 0.649 0.472 0.145
O25 0.683 0.193 0.517
O26 0.707 0.119 0.912
O27 0.730 0.956 0.590
O28 0.775 0.730 0.410
O29 0.807 0.490 0.517
O30 0.823 0.351 0.145
O31 0.835 0.984 0.169
O32 0.851 0.835 0.831
O33 0.881 0.588 0.912
O34 0.924 0.375 0.750
O35 0.956 0.225 0.410
O36 0.984 0.149 0.831

Peak list (6 most intense, 2θ = 10–90°, in order of rising 2θ)
2.630 Å, I 100
2.147 Å, I 10
1.860 Å, I 28
1.520 Å, I 12
1.518 Å, I 36
1.176 Å, I 15